[1]
For Lu4MgTe10O26, DFT lattice parameters and positions (GGA-PBE) gives the computed XRD peak list in this record (λ = 1.5418 Å (Cu Kα)).
Peak positions follow from Bragg's law for the DFT cell and can differ from measured ones.

Top 12 peaks for 2θ from 10° to 90°, low angle first:
two_theta	I/Imax
26.10	467
27.12	536
27.68	1000
30.80	335
30.89	215
32.64	195
42.77	133
44.87	164
45.57	120
46.08	122
46.24	128
53.26	121

```
Lu4MgTe10O26
1.0
6.8837 0.0000 0.0000
2.0974 8.3920 0.0000
0.3114 -0.0245 11.2032
Lu Mg Te O
4 1 10 26
direct
0.0000 0.0000 0.0000
0.0104 0.4617 0.4829
0.4474 0.1575 0.0479
0.5637 0.2546 0.4212
0.4011 0.7418 0.0192
0.1291 0.0815 0.3417
0.1698 0.5276 0.8910
0.2633 0.1290 0.7263
0.2916 0.5933 0.2395
0.4580 0.6285 0.5390
0.6658 0.8014 0.8474
0.7141 0.8417 0.2482
0.7358 0.3303 0.7438
0.8523 0.9236 0.5807
0.8720 0.3775 0.1323
0.0449 0.0713 0.8048
0.0544 0.5419 0.2983
0.0792 0.9919 0.5033
0.1240 0.7434 0.9459
0.1293 0.2332 0.1386
0.2463 0.2259 0.4236
0.3069 0.9722 0.0197
0.3228 0.4638 0.5244
0.3409 0.2409 0.8558
0.3584 0.7138 0.3712
0.3704 0.4732 0.0069
0.4763 0.3957 0.2578
0.4825 0.9276 0.7270
0.5372 0.0479 0.2247
0.5586 0.5383 0.7136
0.6349 0.7175 0.1249
0.6609 0.2182 0.6154
0.6712 0.9909 0.4563
0.6868 0.4918 0.4664
0.6988 0.9826 0.9389
0.7640 0.2262 0.0519
0.8766 0.2352 0.3432
0.9375 0.7058 0.5401
0.9415 0.4677 0.9711
0.9472 0.8966 0.1788
0.9739 0.3690 0.6695
```



[2]
For PmLuMg2, DFT lattice parameters and positions (GGA-PBE) gives the computed XRD peak list in this record (λ = 1.5418 Å (Cu Kα)).
Peak positions follow from Bragg's law for the DFT cell and can differ from measured ones.

Top 12 peaks for 2θ from 10° to 90°, low angle first:
two_theta	I/Imax
20.25	11
23.43	634
33.37	1000
41.18	196
47.92	181
54.00	271
59.65	376
70.10	116
75.05	130
79.89	161
84.66	78
89.39	42

```
PmLuMg2
1.0
0.0000 3.7969 3.7969
3.7969 0.0000 3.7969
3.7969 3.7969 0.0000
Pm Lu Mg
1 1 2
direct
0.0000 0.0000 0.0000
0.5000 0.5000 0.5000
0.2500 0.2500 0.2500
0.7500 0.7500 0.7500
```



[3]
For PrLuMg2, DFT lattice parameters and positions (GGA-PBE) gives the computed XRD peak list in this record (λ = 1.5418 Å (Cu Kα)).
Peak positions follow from Bragg's law for the DFT cell and can differ from measured ones.

Top 12 peaks for 2θ from 10° to 90°, low angle first:
two_theta	I/Imax
20.14	16
23.30	627
33.19	1000
40.94	194
47.64	182
53.68	268
59.29	377
69.66	116
74.57	128
79.37	161
84.09	77
88.78	42

```
PrLuMg2
1.0
0.0000 3.8177 3.8177
3.8177 0.0000 3.8177
3.8177 3.8177 0.0000
Pr Lu Mg
1 1 2
direct
0.0000 0.0000 0.0000
0.5000 0.5000 0.5000
0.2500 0.2500 0.2500
0.7500 0.7500 0.7500
```